Starting from a cell relaxed with GGA-PBE, the powder diffractogram of Zr3Bi was simulated for Cu Kα, 1.54184 Å.

Cell and atoms:
Lattice parameters (Å, degrees): 8.6722 8.6722 8.6722 96.59 96.59 140.40
Sites, in units of the cell vectors:
Zr 0.0471 0.0185 0.6008
Zr 0.0946 0.2798 0.9732
Zr 0.3066 0.1213 0.0268
Zr 0.3875 0.0574 0.3791
Zr 0.4177 0.4463 0.3992
Zr 0.5537 0.9529 0.9714
Zr 0.6784 0.0085 0.6209
Zr 0.7202 0.6934 0.8147
Zr 0.8787 0.9054 0.1853
Zr 0.9426 0.3216 0.3301
Zr 0.9815 0.5823 0.0286
Zr 0.9915 0.6125 0.6699
Bi 0.2443 0.4989 0.6768
Bi 0.4326 0.7557 0.2546
Bi 0.5011 0.1780 0.7454
Bi 0.8220 0.5674 0.3232

Top 10 peaks for 2θ from 5° to 70°, by intensity:
2θ (°), I_rel
35.53, 100.0
37.73, 75.9
22.94, 65.1
31.84, 51.8
32.93, 51.5
39.38, 50.1
32.39, 47.3
39.83, 47.0
34.77, 43.8
42.06, 39.2

***

Starting from a cell relaxed with GGA-PBE, the powder diffractogram of TmMg3 was simulated for Cu Kα, 1.54184 Å.

Cell and atoms:
Lattice parameters (Å, degrees): 4.6254 4.6254 4.6254 90.00 90.00 90.00
Sites, in units of the cell vectors:
Tm 0.0000 0.0000 0.0000
Mg 0.0000 0.5000 0.5000
Mg 0.5000 0.0000 0.5000
Mg 0.5000 0.5000 0.0000

Top 10 peaks for 2θ from 5° to 70°, by intensity:
2θ (°), I_rel
33.56, 100.0
19.19, 98.6
27.27, 85.3
38.94, 49.8
43.76, 48.7
67.12, 39.4
48.19, 37.0
56.25, 33.9
60.00, 24.3
63.61, 16.3

***

Starting from a cell relaxed with GGA-PBE, the powder diffractogram of Tb2Ti2O7 was simulated for Cu Kα, 1.54184 Å.

Cell and atoms:
Lattice parameters (Å, degrees): 7.2119 7.2119 7.2119 60.00 60.00 60.00
Sites, in units of the cell vectors:
Tb 0.0000 0.0000 0.0000
Tb 0.0000 0.0000 0.5000
Tb 0.0000 0.5000 0.0000
Tb 0.5000 0.0000 0.0000
Ti 0.0000 0.5000 0.5000
Ti 0.5000 0.0000 0.5000
Ti 0.5000 0.5000 0.0000
Ti 0.5000 0.5000 0.5000
O 0.1250 0.1250 0.1250
O 0.1705 0.1705 0.5795
O 0.1705 0.5795 0.1705
O 0.1705 0.5795 0.5795
O 0.4205 0.4205 0.8295
O 0.4205 0.8295 0.4205
O 0.4205 0.8295 0.8295
O 0.5795 0.1705 0.1705
O 0.5795 0.1705 0.5795
O 0.5795 0.5795 0.1705
O 0.8295 0.4205 0.4205
O 0.8295 0.4205 0.8295
O 0.8295 0.8295 0.4205
O 0.8750 0.8750 0.8750

Top 10 peaks for 2θ from 5° to 70°, by intensity:
2θ (°), I_rel
30.36, 100.0
50.63, 47.8
60.18, 41.4
15.05, 30.0
35.20, 29.3
38.47, 21.2
29.04, 16.8
46.25, 10.6
53.13, 9.4
63.16, 9.4

***

Starting from a cell relaxed with GGA-PBE, the powder diffractogram of PrMgTi2O6 was simulated for Cu Kα, 1.54184 Å.

Cell and atoms:
Lattice parameters (Å, degrees): 7.7007 5.5308 5.3633 90.00 90.00 90.00
Sites, in units of the cell vectors:
Pr 0.0000 0.2025 0.0000
Pr 0.5000 0.7975 0.5000
Mg 0.0000 0.7038 0.4718
Mg 0.5000 0.2962 0.9718
Ti 0.2493 0.7445 0.9904
Ti 0.2507 0.2555 0.4904
Ti 0.7493 0.2555 0.4904
Ti 0.7507 0.7445 0.9904
O 0.0000 0.2923 0.5697
O 0.0000 0.7727 0.8622
O 0.1919 0.9450 0.3003
O 0.1983 0.4689 0.2061
O 0.3017 0.5311 0.7061
O 0.3081 0.0550 0.8003
O 0.5000 0.2273 0.3622
O 0.5000 0.7077 0.0697
O 0.6919 0.0550 0.8003
O 0.6983 0.5311 0.7061
O 0.8017 0.4689 0.2061
O 0.8081 0.9450 0.3003

Top 10 peaks for 2θ from 5° to 70°, by intensity:
2θ (°), I_rel
32.90, 100.0
47.21, 43.5
20.18, 41.0
19.76, 40.3
59.40, 24.7
32.37, 22.1
33.41, 21.7
39.12, 21.4
68.99, 15.3
58.08, 13.1

***

Starting from a cell relaxed with GGA-PBE, the powder diffractogram of Mn2N was simulated for Cu Kα, 1.54184 Å.

Cell and atoms:
Lattice parameters (Å, degrees): 2.8243 2.8243 4.4017 90.00 90.00 120.00
Sites, in units of the cell vectors:
Mn 0.3333 0.6667 0.2452
Mn 0.6667 0.3333 0.7548
N 0.0000 0.0000 0.5000

Top 6 peaks for 2θ from 5° to 70°, by intensity:
2θ (°), I_rel
42.27, 100.0
56.23, 18.9
41.01, 18.6
66.18, 18.2
36.74, 14.4
20.17, 1.8

***

Starting from a cell relaxed with GGA-PBE, the powder diffractogram of Lu2ZnGa was simulated for Cu Kα, 1.54184 Å.

Cell and atoms:
Lattice parameters (Å, degrees): 6.9864 6.9864 6.9864 90.00 90.00 90.00
Sites, in units of the cell vectors:
Lu 0.2500 0.2500 0.2500
Lu 0.2500 0.2500 0.7500
Lu 0.2500 0.7500 0.2500
Lu 0.2500 0.7500 0.7500
Lu 0.7500 0.2500 0.2500
Lu 0.7500 0.2500 0.7500
Lu 0.7500 0.7500 0.2500
Lu 0.7500 0.7500 0.7500
Zn 0.0000 0.0000 0.0000
Zn 0.0000 0.5000 0.5000
Zn 0.5000 0.0000 0.5000
Zn 0.5000 0.5000 0.0000
Ga 0.0000 0.0000 0.5000
Ga 0.0000 0.5000 0.0000
Ga 0.5000 0.0000 0.0000
Ga 0.5000 0.5000 0.5000

Top 6 peaks for 2θ from 5° to 70°, by intensity:
2θ (°), I_rel
36.37, 100.0
65.45, 35.6
25.50, 20.7
52.38, 17.5
59.14, 8.7
44.95, 6.3

***

Starting from a cell relaxed with GGA-PBE, the powder diffractogram of K2TiTe3O12 was simulated for Cu Kα, 1.54184 Å.

Cell and atoms:
Lattice parameters (Å, degrees): 7.2159 7.2159 7.2174 119.65 119.65 60.37
Sites, in units of the cell vectors:
K 0.1405 0.1405 0.3877
K 0.8595 0.8595 0.6123
Ti 0.4694 0.5306 0.0000
Te 0.4677 0.0320 0.0007
Te 0.4684 0.5316 0.5000
Te 0.9680 0.5323 0.9993
O 0.1408 0.2059 0.9267
O 0.1416 0.6056 0.3260
O 0.1470 0.5995 0.9333
O 0.3944 0.8584 0.6740
O 0.3986 0.4680 0.6794
O 0.4005 0.8530 0.0667
O 0.5313 0.2128 0.9321
O 0.5320 0.6014 0.3206
O 0.5384 0.2061 0.3268
O 0.7872 0.4687 0.0679
O 0.7939 0.4616 0.6732
O 0.7941 0.8592 0.0733

Top 10 peaks for 2θ from 5° to 70°, by intensity:
2θ (°), I_rel
28.89, 100.0
30.20, 58.8
15.08, 56.8
14.97, 51.2
50.30, 25.2
50.60, 25.2
30.42, 19.2
29.04, 18.6
46.02, 18.5
59.93, 17.1